Calculated X-ray powder pattern
Compound: CeSe2
Radiation: Cu Kα
Structure: DFT lattice parameters and positions (GGA-PBE)
Lines closer than 0.1° are merged.

Structural model:
```
6
Lattice="4.115 0.000 0.000 -2.058 3.564 0.000 0.000 0.000 12.984" Properties=species:S:1:pos:R:3 pbc="T T T"
Ce 0.000 2.376 3.246
Ce 2.058 1.188 9.738
Se 0.000 2.376 8.063
Se 0.000 2.376 11.412
Se 2.058 1.188 1.571
Se 2.058 1.188 4.921
```

Top 10 peaks for 10° ≤ 2θ ≤ 80°, sorted by position:
| Position (°2θ) | d (Å) | intensity |
| --- | --- | --- |
| 13.64 | 6.492 | 46 |
| 24.99 | 3.564 | 44 |
| 32.55 | 2.751 | 100 |
| 43.10 | 2.099 | 38 |
| 44.01 | 2.058 | 38 |
| 46.29 | 1.961 | 13 |
| 55.79 | 1.648 | 21 |
| 63.30 | 1.469 | 12 |
| 73.66 | 1.286 | 18 |
| 74.46 | 1.274 | 15 |

=====

Calculated X-ray powder pattern
Compound: EuBrO
Radiation: Cu Kα
Structure: DFT lattice parameters and positions (GGA-PBE)
Lines closer than 0.1° are merged.

Structural model:
```
6
Lattice="3.958 0.000 0.000 0.000 3.958 0.000 0.000 0.000 8.360" Properties=species:S:1:pos:R:3 pbc="T T T"
Eu 0.990 0.990 1.215
Eu 2.969 2.969 7.145
Br 0.990 0.990 5.529
Br 2.969 2.969 2.831
O 0.990 2.969 0.000
O 2.969 0.990 0.000
```

Top 10 peaks for 10° ≤ 2θ ≤ 80°, sorted by position:
| Position (°2θ) | d (Å) | intensity |
| --- | --- | --- |
| 10.58 | 8.360 | 28 |
| 24.89 | 3.577 | 9 |
| 31.12 | 2.874 | 100 |
| 31.98 | 2.799 | 45 |
| 38.72 | 2.326 | 9 |
| 45.85 | 1.979 | 22 |
| 49.31 | 1.848 | 11 |
| 54.82 | 1.675 | 16 |
| 56.45 | 1.630 | 36 |
| 76.04 | 1.252 | 8 |

=====

Calculated X-ray powder pattern
Compound: CsSb2F11
Radiation: Cu Kα
Structure: DFT lattice parameters and positions (GGA-PBE)
Lines closer than 0.1° are merged.

Structural model:
```
56
Lattice="7.925 0.000 0.000 0.000 14.646 0.000 -4.108 0.000 9.014" Properties=species:S:1:pos:R:3 pbc="T T T"
Cs 0.992 1.872 2.035
Cs -1.062 5.451 6.542
Cs 4.879 9.195 2.472
Cs 2.826 12.775 6.979
Sb -1.576 10.174 7.296
Sb 0.478 11.795 2.789
Sb -1.263 0.735 6.821
Sb 0.791 6.588 2.314
Sb 3.027 8.058 6.701
Sb 5.081 13.911 2.194
Sb 3.339 2.851 6.225
Sb 5.393 4.472 1.718
F -3.391 9.188 7.606
F -1.337 12.782 3.099
F -2.406 10.776 5.688
F -0.352 11.194 1.181
F 0.043 8.051 1.361
F -2.011 13.919 5.868
F -2.523 0.396 8.216
F -0.469 6.927 3.709
F -0.339 10.339 3.700
F -2.393 11.631 8.207
F -0.999 8.586 6.421
F 1.055 13.384 1.914
F -0.208 1.258 5.326
F 1.846 6.065 0.819
F -0.797 2.359 7.704
F 1.257 4.964 3.197
F -1.072 9.398 8.961
F 0.982 12.571 4.454
F 2.118 10.880 2.541
F 0.064 11.089 7.048
F 2.180 7.636 3.068
F 0.126 14.333 7.575
F 3.691 0.313 1.439
F 1.637 7.010 5.946
F 3.753 3.557 1.966
F 1.699 3.766 6.473
F 2.836 2.075 4.560
F 4.890 5.248 0.053
F 2.561 9.682 5.817
F 4.614 12.287 1.310
F 1.972 8.581 8.195
F 4.025 13.388 3.688
F 2.763 1.262 7.100
F 4.816 6.061 2.593
F 6.210 3.016 0.807
F 4.156 4.308 5.314
F 4.287 7.719 5.305
F 6.341 14.250 0.798
F 5.828 0.728 3.146
F 3.774 6.595 7.653
F 4.169 3.453 7.833
F 6.223 3.871 3.326
F 5.154 1.865 5.915
F 7.208 5.458 1.408
```

Top 10 peaks for 10° ≤ 2θ ≤ 80°, sorted by position:
| Position (°2θ) | d (Å) | intensity |
| --- | --- | --- |
| 19.70 | 4.507 | 58 |
| 21.94 | 4.051 | 100 |
| 24.39 | 3.649 | 24 |
| 24.69 | 3.606 | 32 |
| 25.96 | 3.432 | 18 |
| 26.17 | 3.405 | 29 |
| 38.20 | 2.356 | 15 |
| 41.42 | 2.180 | 11 |
| 48.03 | 1.894 | 12 |
| 48.37 | 1.882 | 16 |

=====

Calculated X-ray powder pattern
Compound: NaZrNbSnO6
Radiation: Cu Kα
Structure: DFT lattice parameters and positions (GGA-PBE)
Lines closer than 0.1° are merged.

Structural model:
```
10
Lattice="0.000 4.110 4.110 4.110 0.000 4.110 4.110 4.110 0.000" Properties=species:S:1:pos:R:3 pbc="T T T"
Na 0.000 0.000 0.000
Zr 6.165 6.165 6.165
Nb 2.055 2.055 2.055
Sn 4.110 4.110 4.110
O 2.055 2.055 0.047
O 2.055 0.047 2.055
O 4.063 2.055 2.055
O 0.047 2.055 2.055
O 2.055 4.063 2.055
O 2.055 2.055 4.063
```

Top 10 peaks for 10° ≤ 2θ ≤ 80°, sorted by position:
| Position (°2θ) | d (Å) | intensity |
| --- | --- | --- |
| 18.70 | 4.745 | 23 |
| 21.62 | 4.110 | 9 |
| 30.77 | 2.906 | 100 |
| 36.25 | 2.478 | 13 |
| 44.07 | 2.055 | 37 |
| 48.26 | 1.886 | 6 |
| 54.71 | 1.678 | 40 |
| 64.09 | 1.453 | 22 |
| 67.41 | 1.389 | 5 |
| 72.77 | 1.300 | 18 |

=====

Calculated X-ray powder pattern
Compound: CeMg2
Radiation: Cu Kα
Structure: DFT lattice parameters and positions (GGA-PBE)
Lines closer than 0.1° are merged.

Structural model:
```
12
Lattice="3.201 0.000 0.000 0.000 17.872 0.000 0.000 0.000 5.219" Properties=species:S:1:pos:R:3 pbc="T T T"
Ce 0.000 0.692 1.305
Ce 0.000 17.180 3.914
Ce 1.600 8.244 3.914
Ce 1.600 9.628 1.305
Mg 0.000 5.030 3.914
Mg 0.000 6.690 1.305
Mg 0.000 11.182 3.914
Mg 0.000 12.842 1.305
Mg 1.600 2.246 3.914
Mg 1.600 3.906 1.305
Mg 1.600 13.966 3.914
Mg 1.600 15.626 1.305
```

Top 10 peaks for 10° ≤ 2θ ≤ 80°, sorted by position:
| Position (°2θ) | d (Å) | intensity |
| --- | --- | --- |
| 26.26 | 3.394 | 55 |
| 28.33 | 3.151 | 60 |
| 31.74 | 2.819 | 67 |
| 34.37 | 2.609 | 53 |
| 34.67 | 2.587 | 100 |
| 36.21 | 2.481 | 88 |
| 41.64 | 2.169 | 33 |
| 45.11 | 2.010 | 34 |
| 47.47 | 1.915 | 43 |
| 48.85 | 1.864 | 34 |

=====

Calculated X-ray powder pattern
Compound: Mg2FeB2Ir5
Radiation: Cu Kα
Structure: DFT lattice parameters and positions (GGA-PBE)
Lines closer than 0.1° are merged.

Structural model:
```
20
Lattice="9.459 0.000 0.000 0.000 9.459 0.000 0.000 0.000 2.923" Properties=species:S:1:pos:R:3 pbc="T T T"
Mg 1.667 3.063 0.000
Mg 3.063 7.792 0.000
Mg 6.397 1.667 0.000
Mg 7.792 6.397 0.000
Fe 0.000 0.000 0.000
Fe 4.730 4.730 0.000
B 1.192 5.922 0.000
B 3.538 1.192 0.000
B 5.922 8.267 0.000
B 8.267 3.538 0.000
Ir 0.000 4.730 1.461
Ir 0.669 7.435 1.461
Ir 2.024 0.669 1.461
Ir 2.706 5.398 1.461
Ir 4.061 2.706 1.461
Ir 4.730 0.000 1.461
Ir 5.398 6.754 1.461
Ir 6.754 4.061 1.461
Ir 7.435 8.791 1.461
Ir 8.791 2.024 1.461
```

Top 10 peaks for 10° ≤ 2θ ≤ 80°, sorted by position:
| Position (°2θ) | d (Å) | intensity |
| --- | --- | --- |
| 21.00 | 4.230 | 53 |
| 29.87 | 2.991 | 52 |
| 30.59 | 2.923 | 95 |
| 34.18 | 2.624 | 59 |
| 39.27 | 2.294 | 84 |
| 42.75 | 2.115 | 52 |
| 43.28 | 2.091 | 100 |
| 46.51 | 1.952 | 60 |
| 50.58 | 1.805 | 57 |
| 78.66 | 1.216 | 50 |

=====

Calculated X-ray powder pattern
Compound: La2Ti3O9
Radiation: Cu Kα
Structure: DFT lattice parameters and positions (GGA-PBE)
Lines closer than 0.1° are merged.

Structural model:
```
28
Lattice="5.509 0.000 0.000 -2.755 8.264 0.000 -2.754 -2.756 7.862" Properties=species:S:1:pos:R:3 pbc="T T T"
La 0.000 0.000 0.000
La -2.712 2.753 3.988
La -0.020 0.006 4.035
La -0.043 5.518 3.943
Ti -2.777 0.020 6.041
Ti -2.801 5.537 5.961
Ti 0.036 2.791 1.924
Ti 2.747 -0.046 2.006
Ti 0.036 2.712 6.015
Ti 2.757 5.433 1.940
O -1.286 1.314 2.158
O -1.431 -1.471 5.834
O -0.033 2.520 0.063
O -2.779 5.491 4.005
O -1.424 4.114 2.252
O -1.435 1.395 5.759
O -1.425 6.985 2.109
O 1.354 1.295 2.131
O -1.326 4.213 5.785
O 2.757 0.039 0.082
O 0.036 2.746 4.005
O 1.465 -1.423 5.891
O 1.424 4.132 2.197
O 2.705 -0.035 3.953
O 1.412 1.351 5.763
O 2.720 5.755 0.027
O 1.448 6.950 2.080
O 1.339 4.200 5.793
```

Top 10 peaks for 10° ≤ 2θ ≤ 80°, sorted by position:
| Position (°2θ) | d (Å) | intensity |
| --- | --- | --- |
| 11.27 | 7.850 | 57 |
| 25.51 | 3.492 | 33 |
| 32.35 | 2.767 | 100 |
| 32.50 | 2.755 | 51 |
| 39.97 | 2.256 | 31 |
| 46.18 | 1.966 | 20 |
| 46.63 | 1.948 | 40 |
| 57.61 | 1.600 | 20 |
| 57.90 | 1.593 | 39 |
| 67.73 | 1.384 | 22 |

=====

Calculated X-ray powder pattern
Compound: AgI3N2
Radiation: Cu Kα
Structure: DFT lattice parameters and positions (GGA-PBE)
Lines closer than 0.1° are merged.

Structural model:
```
24
Lattice="7.606 0.000 0.000 0.000 3.390 0.000 0.000 0.000 24.771" Properties=species:S:1:pos:R:3 pbc="T T T"
Ag 1.097 0.848 3.916
Ag 2.706 2.543 16.301
Ag 4.900 0.848 8.470
Ag 6.509 2.543 20.855
I 0.399 0.848 6.798
I 0.694 2.543 14.114
I 0.870 0.848 22.145
I 2.933 2.543 9.759
I 3.109 0.848 1.729
I 3.404 2.543 19.183
I 4.202 0.848 5.587
I 4.497 2.543 23.041
I 4.673 0.848 15.011
I 6.737 2.543 2.626
I 6.912 0.848 10.656
I 7.207 2.543 17.973
N 0.826 0.848 17.588
N 1.375 0.848 13.130
N 2.428 2.543 0.745
N 2.978 2.543 5.202
N 4.629 0.848 19.568
N 5.178 0.848 24.026
N 6.231 2.543 11.641
N 6.781 2.543 7.183
```

Top 10 peaks for 10° ≤ 2θ ≤ 80°, sorted by position:
| Position (°2θ) | d (Å) | intensity |
| --- | --- | --- |
| 25.79 | 3.454 | 100 |
| 26.54 | 3.359 | 40 |
| 27.81 | 3.208 | 82 |
| 29.06 | 3.073 | 48 |
| 29.74 | 3.004 | 36 |
| 35.47 | 2.531 | 29 |
| 36.23 | 2.479 | 30 |
| 41.23 | 2.190 | 66 |
| 48.45 | 1.879 | 30 |
| 48.53 | 1.876 | 29 |

=====

Calculated X-ray powder pattern
Compound: K2AgI3
Radiation: Cu Kα
Structure: DFT lattice parameters and positions (GGA-PBE)
Lines closer than 0.1° are merged.

Structural model:
```
24
Lattice="10.226 0.000 0.000 0.000 4.865 0.000 0.000 0.000 19.866" Properties=species:S:1:pos:R:3 pbc="T T T"
K 0.776 1.216 4.251
K 2.551 1.216 19.132
K 2.561 3.649 9.199
K 4.336 3.649 14.184
K 5.889 1.216 5.682
K 7.664 1.216 10.667
K 7.674 3.649 0.734
K 9.449 3.649 15.615
Ag 1.334 1.216 12.630
Ag 3.779 3.649 2.697
Ag 6.447 1.216 17.168
Ag 8.892 3.649 7.236
I 0.084 1.216 7.962
I 1.215 3.649 1.425
I 1.918 1.216 15.442
I 3.195 3.649 5.509
I 3.898 1.216 11.357
I 5.029 3.649 17.895
I 5.196 1.216 1.970
I 6.328 3.649 8.508
I 7.031 1.216 14.357
I 8.307 3.649 4.424
I 9.011 1.216 18.441
I 10.142 3.649 11.903
```

Top 10 peaks for 10° ≤ 2θ ≤ 80°, sorted by position:
| Position (°2θ) | d (Å) | intensity |
| --- | --- | --- |
| 12.42 | 7.125 | 47 |
| 18.78 | 4.726 | 54 |
| 25.67 | 3.470 | 77 |
| 26.86 | 3.319 | 100 |
| 27.10 | 3.291 | 60 |
| 30.33 | 2.947 | 62 |
| 32.39 | 2.764 | 40 |
| 36.95 | 2.433 | 65 |
| 42.20 | 2.142 | 46 |
| 42.35 | 2.134 | 47 |

=====

Calculated X-ray powder pattern
Compound: Sr5P3O13
Radiation: Cu Kα
Structure: DFT lattice parameters and positions (GGA-PBE)
Lines closer than 0.1° are merged.

Structural model:
```
42
Lattice="9.907 0.000 0.000 -4.953 8.579 0.000 0.000 0.000 7.354" Properties=species:S:1:pos:R:3 pbc="T T T"
Sr -1.156 2.182 1.839
Sr -2.486 8.490 1.839
Sr 1.311 2.092 5.516
Sr 0.000 5.720 7.352
Sr 0.000 5.720 3.679
Sr 4.953 2.860 0.002
Sr 4.953 2.860 3.675
Sr 3.642 6.488 1.839
Sr 7.440 0.090 5.516
Sr 6.109 6.398 5.516
P -1.677 3.418 5.516
P -1.155 8.322 5.516
P 2.122 3.161 1.839
P 2.831 5.418 5.516
P 6.108 0.257 1.839
P 6.630 5.161 1.839
O 0.000 0.000 1.839
O 0.000 0.000 5.516
O -0.887 2.953 4.255
O -0.887 2.953 6.777
O -1.706 4.977 5.516
O -1.837 5.752 1.839
O -1.952 7.871 4.255
O -1.952 7.871 6.777
O 0.891 4.112 1.839
O 2.114 2.245 0.578
O 2.114 2.245 3.100
O 1.496 4.614 5.516
O 0.210 7.568 5.516
O 4.007 1.285 5.516
O 0.947 7.295 1.839
O 4.743 1.012 1.839
O 3.458 3.966 1.839
O 2.839 6.335 4.255
O 2.839 6.335 6.777
O 4.063 4.467 5.516
O 6.905 0.709 0.578
O 6.905 0.709 3.100
O 6.791 2.827 5.516
O 6.659 3.602 1.839
O 5.840 5.626 0.578
O 5.840 5.626 3.100
```

Top 10 peaks for 10° ≤ 2θ ≤ 80°, sorted by position:
| Position (°2θ) | d (Å) | intensity |
| --- | --- | --- |
| 26.37 | 3.380 | 29 |
| 27.51 | 3.243 | 30 |
| 30.12 | 2.967 | 100 |
| 30.27 | 2.953 | 72 |
| 31.28 | 2.860 | 56 |
| 44.08 | 2.054 | 33 |
| 45.40 | 1.998 | 23 |
| 46.44 | 1.956 | 35 |
| 47.84 | 1.901 | 23 |
| 49.18 | 1.853 | 27 |